Record 1
Structure and theoretical X-ray powder pattern of LiMgAg2Hg (a PBE-relaxed structure; Cu Ka).

Cell and atoms:
```
data_LiMgAg2Hg
_cell_length_a 3.034
_cell_length_b 19.172
_cell_length_c 6.986
_cell_angle_alpha 90.00
_cell_angle_beta 90.00
_cell_angle_gamma 90.00
_symmetry_space_group_name_H-M 'C m c m'
_symmetry_Int_Tables_number 63
_symmetry_space_group_name_Hall '-C 2c 2'
loop_
_atom_site_label
_atom_site_fract_x
_atom_site_fract_y
_atom_site_fract_z
Li1 0.000 0.095 0.250
Mg1 0.000 0.254 0.750
Ag1 0.000 0.351 0.048
Hg1 0.000 0.500 0.000
```

Most intense lines, 2θ = 5–70°, by angle:
| Position (°2θ) | I/Imax |
| --- | --- |
| 9.23 | 69 |
| 25.50 | 85 |
| 27.92 | 65 |
| 29.81 | 100 |
| 38.17 | 67 |
| 39.62 | 85 |
| 44.56 | 53 |
| 52.04 | 56 |


Record 2
Structure and theoretical X-ray powder pattern of LiPu2Br2O2 (a PBE-relaxed structure; Cu Ka).

Cell and atoms:
```
data_LiPu2Br2O2
_cell_length_a 3.903
_cell_length_b 3.903
_cell_length_c 18.478
_cell_angle_alpha 90.00
_cell_angle_beta 90.00
_cell_angle_gamma 90.00
_symmetry_space_group_name_H-M 'I 4/m m m'
_symmetry_Int_Tables_number 139
_symmetry_space_group_name_Hall '-I 4 2'
loop_
_atom_site_label
_atom_site_fract_x
_atom_site_fract_y
_atom_site_fract_z
Li1 0.000 0.000 0.000
Pu1 0.000 0.000 0.418
Br1 0.000 0.000 0.162
O1 0.000 0.500 0.000
```

Most intense lines, 2θ = 5–70°, by angle:
| Position (°2θ) | I/Imax |
| --- | --- |
| 9.57 | 79 |
| 23.29 | 100 |
| 32.44 | 82 |
| 33.39 | 89 |
| 41.29 | 66 |
| 46.53 | 37 |
| 58.47 | 37 |
| 63.94 | 37 |


Record 3
Structure and theoretical X-ray powder pattern of V2Fe13 (a PBE-relaxed structure; Cu Ka).

Cell and atoms:
```
data_V2Fe13
_cell_length_a 6.168
_cell_length_b 6.249
_cell_length_c 6.312
_cell_angle_alpha 92.48
_cell_angle_beta 117.74
_cell_angle_gamma 118.30
_symmetry_space_group_name_H-M 'P -1'
_symmetry_Int_Tables_number 2
_symmetry_space_group_name_Hall '-P 1'
loop_
_atom_site_label
_atom_site_fract_x
_atom_site_fract_y
_atom_site_fract_z
V1 0.209 0.306 0.326
Fe1 0.000 0.500 0.000
Fe2 0.049 0.162 0.864
Fe3 0.152 0.919 0.585
Fe4 0.193 0.564 0.717
Fe5 0.346 0.973 0.073
Fe6 0.387 0.771 0.445
Fe7 0.483 0.362 0.832
```

Most intense lines, 2θ = 5–70°, by angle:
| Position (°2θ) | I/Imax |
| --- | --- |
| 43.03 | 30 |
| 43.58 | 35 |
| 43.72 | 63 |
| 44.49 | 100 |
| 44.60 | 49 |
| 44.88 | 44 |
| 45.26 | 70 |
| 45.78 | 52 |


Record 4
Structure and theoretical X-ray powder pattern of Pu2Si3Pt3 (a PBE-relaxed structure; Cu Ka).

Cell and atoms:
```
data_Pu2Si3Pt3
_cell_length_a 2.719
_cell_length_b 2.719
_cell_length_c 20.624
_cell_angle_alpha 90.00
_cell_angle_beta 90.00
_cell_angle_gamma 90.00
_symmetry_space_group_name_H-M 'P 4/m m m'
_symmetry_Int_Tables_number 123
_symmetry_space_group_name_Hall '-P 4 2'
loop_
_atom_site_label
_atom_site_fract_x
_atom_site_fract_y
_atom_site_fract_z
Pu1 0.000 0.000 0.250
Si1 0.000 0.000 0.000
Si2 0.000 0.000 0.385
Pt1 0.000 0.000 0.115
Pt2 0.000 0.000 0.500
```

Most intense lines, 2θ = 5–70°, by angle:
| Position (°2θ) | I/Imax |
| --- | --- |
| 8.57 | 28 |
| 12.88 | 41 |
| 21.54 | 22 |
| 32.94 | 100 |
| 34.80 | 39 |
| 47.28 | 37 |
| 48.67 | 62 |
| 60.03 | 34 |